Simulated powder XRD pattern
Compound: CdH4CN2Cl2O
Radiation: Cu Kα
Structure: a structure optimized by DFT (PBE)

The 10 most intense peaks (2θ from 10° to 90°), low angle first:
d_spacing	2θ (°)	intensity	hkl
7.971	11.10	62.7	0 1 0
7.096	12.47	100.0	0 1 1
4.938	17.96	24.1	0 0 2
3.807	23.37	20.1	0 1 -2
3.417	26.08	48.2	0 2 -1
3.208	27.81	38.1	1 1 2
2.790	32.08	22.6	0 2 -2
2.745	32.63	32.6	-1 1 2
2.512	35.75	15.5	1 2 3
2.423	37.10	15.1	0 3 -1

Crystal structure
Unit cell a=3.8214 b=8.2952 c=10.2612 alpha=75.23 beta=82.66 gamma=81.98
Sites, in units of the cell vectors:
Cd (0.2316, 0.3806, 0.1780)
Cd (0.7684, 0.6194, 0.8220)
H (0.0972, 0.8608, 0.4995)
H (0.3303, 0.7219, 0.4087)
H (0.3895, 0.1829, 0.8013)
H (0.4010, 0.9683, 0.8763)
H (0.5990, 0.0317, 0.1237)
H (0.6105, 0.8171, 0.1987)
H (0.6697, 0.2781, 0.5913)
H (0.9028, 0.1392, 0.5005)
C (0.3106, 0.9709, 0.3089)
C (0.6894, 0.0291, 0.6911)
N (0.2186, 0.8404, 0.4098)
N (0.4988, 0.0631, 0.8034)
N (0.5012, 0.9369, 0.1966)
N (0.7814, 0.1596, 0.5902)
Cl (0.1862, 0.6933, 0.9874)
Cl (0.3526, 0.5123, 0.6901)
Cl (0.6474, 0.4877, 0.3099)
Cl (0.8138, 0.3067, 0.0126)
O (0.2074, 0.1206, 0.3200)
O (0.7926, 0.8794, 0.6800)